1.
# DyHo3Tm2Sb6
Simulated powder XRD pattern, Cu Kα (weighted mean of Kα1 and Kα2). Input: a DFT-relaxed cell (PBE, Alexandria).
No peak broadening, texture or thermal motion is included.

Atomic structure:
Lattice parameters (Å, degrees): 18.9976 4.3582 8.7185 90.00 103.20 90.00
Space group C2/m (No. 12)
Asymmetric unit:
Dy: 0.0000 0.0000 0.0000 [2 per cell]
Ho: 0.0000 0.0000 0.5000 [2 per cell]
Ho: 0.1662 0.5000 0.8329 [4 per cell]
Tm: 0.1668 0.5000 0.3333 [4 per cell]
Sb: 0.0007 0.5000 0.2512 [4 per cell]
Sb: 0.1671 0.0000 0.0850 [4 per cell]
Sb: 0.1672 0.0000 0.5818 [4 per cell]

Main lines, in order of falling intensity (10° ≤ 2θ ≤ 90°):
2θ = 28.97°, d 3.082, rel. 100, (6 0 0); 2θ = 41.43°, d 2.179, rel. 76, (5 1 2); 2θ = 68.01°, d 1.378, rel. 35, (11 1 2); 2θ = 51.34°, d 1.780, rel. 27, (6 2 0); 2θ = 75.56°, d 1.258, rel. 26, (12 2 0); 2θ = 60.03°, d 1.541, rel. 13, (12 0 0); 2θ = 25.02°, d 3.559, rel. 4, (3 1 0); 2θ = 49.01°, d 1.859, rel. 2, (9 1 0); 2θ = 66.07°, d 1.414, rel. 1, (7 1 4); 2θ = 81.05°, d 1.186, rel. 1, (6 0 6)



2.
# YCr8
Simulated powder XRD pattern, Cu Kα (weighted mean of Kα1 and Kα2). Input: a DFT-relaxed cell (PBE, Alexandria).
No peak broadening, texture or thermal motion is included.

Atomic structure:
Lattice parameters (Å, degrees): 7.6265 7.6265 4.2499 90.00 90.00 90.00
Space group I4/mmm (No. 139)
Asymmetric unit:
Y: 0.0000 0.0000 0.0000 [2 per cell]
Cr: 0.0000 0.3579 0.0000 [8 per cell]
Cr: 0.1946 0.1946 0.5000 [8 per cell]

Main lines, in order of falling intensity (10° ≤ 2θ ≤ 90°):
2θ = 41.39°, d 2.182, rel. 100, (3 0 1); 2θ = 42.54°, d 2.125, rel. 27, (0 0 2); 2θ = 50.79°, d 1.798, rel. 22, (3 3 0); 2θ = 68.35°, d 1.372, rel. 17, (3 3 2); 2θ = 77.07°, d 1.237, rel. 13, (3 0 3); 2θ = 33.23°, d 2.696, rel. 12, (2 2 0); 2θ = 70.03°, d 1.344, rel. 11, (5 2 1); 2θ = 89.17°, d 1.098, rel. 10, (6 3 1); 2θ = 23.97°, d 3.712, rel. 6, (1 0 1); 2θ = 89.94°, d 1.091, rel. 5, (6 0 2)



3.
# Y4Co2H
Simulated powder XRD pattern, Cu Kα (weighted mean of Kα1 and Kα2). Input: a DFT-relaxed cell (PBE, Alexandria).
No peak broadening, texture or thermal motion is included.

Atomic structure:
Lattice parameters (Å, degrees): 13.8522 3.7669 5.7057 90.00 100.65 90.00
Space group C2/m (No. 12)
Asymmetric unit:
Y: 0.0803 0.0000 0.2796 [4 per cell]
Y: 0.1567 0.5000 0.8253 [4 per cell]
Co: 0.2346 0.5000 0.3814 [4 per cell]
H: 0.0000 0.5000 0.0000 [2 per cell]

Main lines, in order of falling intensity (10° ≤ 2θ ≤ 90°):
2θ = 33.07°, d 2.708, rel. 100, (3 1 -1); 2θ = 33.22°, d 2.697, rel. 59, (4 0 1); 2θ = 30.85°, d 2.898, rel. 52, (3 1 0); 2θ = 29.97°, d 2.981, rel. 47, (1 1 1); 2θ = 41.66°, d 2.168, rel. 44, (1 1 2); 2θ = 13.01°, d 6.807, rel. 37, (2 0 0); 2θ = 36.54°, d 2.459, rel. 37, (3 1 1); 2θ = 32.20°, d 2.780, rel. 34, (2 0 -2); 2θ = 48.32°, d 1.883, rel. 34, (0 2 0); 2θ = 31.92°, d 2.804, rel. 33, (0 0 2)



4.
# Ho5Tm3Sc2
Simulated powder XRD pattern, Cu Kα (weighted mean of Kα1 and Kα2). Input: a DFT-relaxed cell (PBE, Alexandria).
No peak broadening, texture or thermal motion is included.

Atomic structure:
Lattice parameters (Å, degrees): 9.1486 9.1512 9.1554 106.66 106.57 115.32
Space group P-1 (No. 2)
Asymmetric unit:
Ho: 0.0747 0.2268 0.0512 [2 per cell]
Ho: 0.1280 0.3776 0.7503 [2 per cell]
Ho: 0.1775 0.5255 0.4524 [2 per cell]
Ho: 0.3247 0.9768 0.5516 [2 per cell]
Ho: 0.3777 0.1278 0.2498 [2 per cell]
Tm: 0.0253 0.0770 0.3496 [2 per cell]
Tm: 0.2279 0.6760 0.1500 [2 per cell]
Tm: 0.4268 0.2752 0.9524 [2 per cell]
Sc: 0.2779 0.8278 0.8516 [2 per cell]
Sc: 0.4762 0.4259 0.6494 [2 per cell]

Main lines, in order of falling intensity (10° ≤ 2θ ≤ 90°):
2θ = 31.68°, d 2.825, rel. 100, (0 2 1); 2θ = 36.74°, d 2.446, rel. 50, (2 2 -2); 2θ = 63.01°, d 1.475, rel. 41, (1 1 4); 2θ = 52.93°, d 1.730, rel. 35, (3 1 1); 2θ = 86.76°, d 1.122, rel. 17, (5 -7 4); 2θ = 66.16°, d 1.412, rel. 12, (0 4 2); 2θ = 89.57°, d 1.094, rel. 11, (4 0 4); 2θ = 20.30°, d 4.376, rel. 6, (1 -2 0); 2θ = 89.68°, d 1.093, rel. 6, (7 -7 1); 2θ = 12.13°, d 7.296, rel. 4, (0 1 -1)



5.
# CdS3O9
Simulated powder XRD pattern, Cu Kα (weighted mean of Kα1 and Kα2). Input: a DFT-relaxed cell (PBE, Alexandria).
No peak broadening, texture or thermal motion is included.

Atomic structure:
Lattice parameters (Å, degrees): 9.8624 11.7363 6.7152 90.00 90.00 90.00
Space group C222_1 (No. 20)
Asymmetric unit:
Cd: 0.1032 0.0000 0.0000 [4 per cell]
S: 0.0456 0.3394 0.4637 [8 per cell]
S: 0.2186 0.0000 0.5000 [4 per cell]
O: 0.0000 0.4042 0.2500 [4 per cell]
O: 0.0020 0.2224 0.0436 [8 per cell]
O: 0.1199 0.0260 0.6702 [8 per cell]
O: 0.1897 0.3610 0.4968 [8 per cell]
O: 0.2015 0.3992 0.9471 [8 per cell]

Main lines, in order of falling intensity (10° ≤ 2θ ≤ 90°):
2θ = 24.48°, d 3.636, rel. 100, (1 3 0); 2θ = 26.55°, d 3.358, rel. 82, (0 0 2); 2θ = 31.24°, d 2.863, rel. 76, (3 1 1); 2θ = 15.10°, d 5.868, rel. 75, (0 2 0); 2θ = 11.72°, d 7.550, rel. 55, (1 1 0); 2θ = 27.10°, d 3.291, rel. 54, (2 2 1); 2θ = 36.42°, d 2.467, rel. 38, (1 3 2); 2θ = 38.15°, d 2.359, rel. 35, (2 4 1); 2θ = 49.90°, d 1.828, rel. 25, (3 1 3); 2θ = 54.86°, d 1.673, rel. 22, (2 4 3)



6.
# Ir3Ru4Rh2
Simulated powder XRD pattern, Cu Kα (weighted mean of Kα1 and Kα2). Input: a DFT-relaxed cell (PBE, Alexandria).
No peak broadening, texture or thermal motion is included.

Atomic structure:
Lattice parameters (Å, degrees): 8.1864 8.9303 7.1643 90.00 90.13 90.00
Space group C2/c (No. 15)
Asymmetric unit:
Ir: 0.0000 0.0892 0.2500 [4 per cell]
Ir: 0.1645 0.4112 0.7491 [8 per cell]
Ru: 0.0023 0.3638 0.4335 [8 per cell]
Ru: 0.1680 0.1388 0.5627 [8 per cell]
Rh: 0.1645 0.1357 0.9288 [8 per cell]

Main lines, in order of falling intensity (10° ≤ 2θ ≤ 90°):
2θ = 42.95°, d 2.106, rel. 100, (0 2 3); 2θ = 42.87°, d 2.109, rel. 95, (3 1 -2); 2θ = 46.92°, d 1.937, rel. 64, (3 3 1); 2θ = 36.65°, d 2.452, rel. 63, (3 1 1); 2θ = 40.40°, d 2.233, rel. 44, (0 4 0); 2θ = 23.48°, d 3.789, rel. 26, (0 2 1); 2θ = 42.41°, d 2.131, rel. 24, (0 4 1); 2θ = 67.97°, d 1.379, rel. 21, (3 5 -2); 2θ = 32.03°, d 2.794, rel. 18, (0 2 2); 2θ = 84.53°, d 1.146, rel. 18, (6 2 -3)